Diffraction record for NiPO4. The X-ray powder pattern is calculated, not measured: it uses the PBE+U geometry in Alexandria and Cu Kα.

Structure:
Unit cell a=10.1738 b=5.0191 c=7.0388 alpha=90.00 beta=90.00 gamma=90.00
Sites, in units of the cell vectors:
Ni 0.1522 0.1829 0.0000
Ni 0.3478 0.6829 0.5000
Ni 0.6522 0.3171 0.0000
Ni 0.8478 0.8171 0.5000
P 0.0963 0.6801 0.7472
P 0.4037 0.1801 0.2472
P 0.5963 0.8199 0.7472
P 0.9037 0.3199 0.2472
O 0.0504 0.2555 0.2089
O 0.1129 0.3775 0.7840
O 0.1413 0.8284 0.9284
O 0.1758 0.7610 0.5685
O 0.3242 0.2610 0.0685
O 0.3587 0.3284 0.4284
O 0.3871 0.8775 0.2840
O 0.4496 0.7555 0.7089
O 0.5504 0.2445 0.2089
O 0.6129 0.1225 0.7840
O 0.6413 0.6716 0.9284
O 0.6758 0.7390 0.5685
O 0.8242 0.2390 0.0685
O 0.8587 0.1716 0.4284
O 0.8871 0.6225 0.2840
O 0.9496 0.7445 0.7089

Principal peaks in the range 2θ = 15–90°, sorted by position:
2θ/deg	intensity	hkl
21.6	100.0	2 0 1
21.7	93.3	0 1 1
23.5	16.8	1 1 1
30.9	16.6	2 0 2
32.3	14.0	1 1 2
35.3	20.0	4 0 0
35.8	33.8	0 2 0
60.6	11.3	6 0 2